Record 1
The following is a simulated powder X-ray diffraction pattern of HoAgF4. It was derived from a PBE-relaxed structure, using CuKα.

Crystal structure
```
HoAgF4
1.0
7.5949 0.0000 0.0000
0.0000 7.9786 0.0000
0.0000 0.0000 3.5717
Ho Ag F
2 2 8
direct
0.0000 0.0000 0.0000
0.5000 0.5000 0.0000
0.0000 0.5000 0.5000
0.5000 0.0000 0.5000
0.0000 0.1666 0.5000
0.0000 0.8334 0.5000
0.2184 0.5000 0.0000
0.2816 0.0000 0.0000
0.5000 0.3334 0.5000
0.5000 0.6666 0.5000
0.7184 0.0000 0.0000
0.7816 0.5000 0.0000
```

Most intense lines, 2θ from 10° to 90°, low angle first:
- 2θ = 16.11°, I = 14
- 2θ = 22.28°, I = 75
- 2θ = 23.43°, I = 58
- 2θ = 29.83°, I = 100
- 2θ = 32.55°, I = 31
- 2θ = 44.10°, I = 52
- 2θ = 45.36°, I = 40
- 2θ = 56.42°, I = 40
- 2θ = 68.14°, I = 14
- 2θ = 77.10°, I = 17


Record 2
The following is a simulated powder X-ray diffraction pattern of Nd5Y2ErTh. It was derived from a PBE-relaxed structure, using CuKα.

Crystal structure
```
Nd5Y2ErTh
1.0
2.7168 -10.8758 0.0000
2.7168 10.8758 0.0000
0.0000 0.0000 10.6081
Nd Y Er Th
10 4 2 2
direct
0.0000 0.0000 0.0000
0.0000 0.0000 0.5000
0.1246 0.8754 0.7500
0.2217 0.7783 0.0567
0.2217 0.7783 0.4433
0.4990 0.5010 0.2500
0.5010 0.4990 0.7500
0.7783 0.2217 0.5567
0.7783 0.2217 0.9433
0.8754 0.1246 0.2500
0.3867 0.6133 0.5016
0.3867 0.6133 0.9984
0.6133 0.3867 0.0016
0.6133 0.3867 0.4984
0.1023 0.8977 0.2500
0.8977 0.1023 0.7500
0.2866 0.7134 0.7500
0.7134 0.2866 0.2500
```

Most intense lines, 2θ from 10° to 90°, low angle first:
- 2θ = 26.51°, I = 11
- 2θ = 30.44°, I = 19
- 2θ = 31.28°, I = 100
- 2θ = 32.64°, I = 15
- 2θ = 32.96°, I = 38
- 2θ = 33.80°, I = 18
- 2θ = 47.93°, I = 18
- 2θ = 57.82°, I = 17
- 2θ = 58.89°, I = 9
- 2θ = 60.47°, I = 10


Record 3
The following is a simulated powder X-ray diffraction pattern of Pr5AuS4. It was derived from a PBE-relaxed structure, using CuKα.

Crystal structure
```
Pr5AuS4
1.0
6.9552 -2.0595 0.0000
6.9552 2.0595 0.0000
-5.1209 0.0000 8.8760
Pr Au S
5 1 4
direct
0.0000 0.0000 0.0000
0.2037 0.2037 0.8094
0.3931 0.3931 0.6058
0.6069 0.6069 0.3942
0.7963 0.7963 0.1906
0.0000 0.0000 0.5000
0.2030 0.2030 0.2961
0.4022 0.4022 0.1003
0.5978 0.5978 0.8997
0.7970 0.7970 0.7039
```

Most intense lines, 2θ from 10° to 90°, low angle first:
- 2θ = 26.07°, I = 12
- 2θ = 26.42°, I = 12
- 2θ = 30.40°, I = 100
- 2θ = 43.08°, I = 12
- 2θ = 43.53°, I = 49
- 2θ = 43.96°, I = 12
- 2θ = 53.64°, I = 13
- 2θ = 54.39°, I = 13
- 2θ = 63.25°, I = 12
- 2θ = 71.76°, I = 11


Record 4
The following is a simulated powder X-ray diffraction pattern of Na5Tl4Pd. It was derived from a PBE-relaxed structure, using CuKα.

Crystal structure
```
Na5Tl4Pd
1.0
9.4414 -1.8894 0.0000
9.4414 1.8894 0.0000
-1.7538 0.0000 8.4004
Na Tl Pd
5 4 1
direct
0.0000 0.0000 0.0000
0.3007 0.3007 0.8488
0.3893 0.3893 0.2582
0.6107 0.6107 0.7418
0.6993 0.6993 0.1512
0.1820 0.1820 0.5129
0.4434 0.4434 0.6912
0.5566 0.5566 0.3088
0.8180 0.8180 0.4871
0.0000 0.0000 0.5000
```

Most intense lines, 2θ from 10° to 90°, low angle first:
- 2θ = 10.53°, I = 100
- 2θ = 12.71°, I = 10
- 2θ = 21.37°, I = 11
- 2θ = 30.77°, I = 19
- 2θ = 31.56°, I = 28
- 2θ = 32.92°, I = 20
- 2θ = 33.92°, I = 11
- 2θ = 34.05°, I = 26
- 2θ = 37.47°, I = 10
- 2θ = 39.55°, I = 10


Record 5
The following is a simulated powder X-ray diffraction pattern of Ho3ZnSi2. It was derived from a PBE-relaxed structure, using CuKα.

Crystal structure
```
Ho3ZnSi2
1.0
11.3032 0.0000 0.0000
0.0000 4.1602 0.0000
0.0000 0.0000 11.4003
Ho Zn Si
12 4 8
direct
0.0560 0.2500 0.1219
0.1282 0.7500 0.5653
0.2026 0.2500 0.8033
0.2974 0.7500 0.3033
0.3718 0.2500 0.0653
0.4440 0.7500 0.6219
0.5560 0.2500 0.3781
0.6282 0.7500 0.9347
0.7026 0.2500 0.6967
0.7974 0.7500 0.1967
0.8718 0.2500 0.4347
0.9440 0.7500 0.8781
0.1359 0.2500 0.3645
0.3641 0.7500 0.8645
0.6359 0.2500 0.1355
0.8641 0.7500 0.6355
0.0219 0.7500 0.3194
0.1865 0.7500 0.9982
0.3135 0.2500 0.4982
0.4781 0.2500 0.8194
0.5219 0.7500 0.1806
0.6865 0.7500 0.5018
0.8135 0.2500 0.0018
0.9781 0.2500 0.6806
```

Most intense lines, 2θ from 10° to 90°, low angle first:
- 2θ = 24.09°, I = 45
- 2θ = 27.75°, I = 54
- 2θ = 28.40°, I = 45
- 2θ = 30.96°, I = 53
- 2θ = 31.90°, I = 100
- 2θ = 32.40°, I = 48
- 2θ = 32.65°, I = 37
- 2θ = 33.02°, I = 27
- 2θ = 35.81°, I = 93
- 2θ = 43.51°, I = 48


Record 6
The following is a simulated powder X-ray diffraction pattern of CsCaSbH2. It was derived from a PBE-relaxed structure, using CuKα.

Crystal structure
```
CsCaSbH2
1.0
5.3291 0.0000 0.0000
-2.6646 4.6152 0.0000
0.0000 0.0000 19.5736
Cs Ca Sb H
3 3 3 6
direct
0.0000 0.0000 0.0000
0.3333 0.6667 0.6667
0.6667 0.3333 0.3333
0.0000 0.0000 0.4831
0.3333 0.6667 0.1498
0.6667 0.3333 0.8165
0.0000 0.0000 0.7936
0.3333 0.6667 0.4603
0.6667 0.3333 0.1270
0.0000 0.0000 0.2578
0.0000 0.0000 0.2968
0.3333 0.6667 0.9245
0.3333 0.6667 0.9634
0.6667 0.3333 0.5912
0.6667 0.3333 0.6301
```

Most intense lines, 2θ from 10° to 90°, low angle first:
- 2θ = 13.57°, I = 23
- 2θ = 19.76°, I = 88
- 2θ = 21.29°, I = 28
- 2θ = 26.55°, I = 100
- 2θ = 27.34°, I = 27
- 2θ = 29.93°, I = 54
- 2θ = 33.63°, I = 79
- 2θ = 43.35°, I = 26
- 2θ = 43.87°, I = 43
- 2θ = 55.96°, I = 24


Record 7
The following is a simulated powder X-ray diffraction pattern of KNbS2O8. It was derived from a PBE-relaxed structure, using CuKα.

Crystal structure
```
KNbS2O8
1.0
4.9852 0.0000 0.0000
-2.4926 4.3173 0.0000
0.0000 0.0000 8.4426
K Nb S O
1 1 2 8
direct
0.0000 0.0000 0.0000
0.0000 0.0000 0.5000
0.3333 0.6667 0.7206
0.6667 0.3333 0.2794
0.0699 0.3671 0.6592
0.2972 0.9301 0.6592
0.3333 0.6667 0.8934
0.3671 0.2972 0.3408
0.6329 0.7028 0.6592
0.6667 0.3333 0.1066
0.7028 0.0699 0.3408
0.9301 0.6329 0.3408
```

Most intense lines, 2θ from 10° to 90°, low angle first:
- 2θ = 10.48°, I = 66
- 2θ = 20.57°, I = 31
- 2θ = 23.14°, I = 91
- 2θ = 29.60°, I = 100
- 2θ = 36.03°, I = 39
- 2θ = 42.10°, I = 19
- 2θ = 47.30°, I = 27
- 2θ = 47.98°, I = 18
- 2θ = 57.19°, I = 18
- 2θ = 60.86°, I = 21


Record 8
The following is a simulated powder X-ray diffraction pattern of Cs2K6RbNa. It was derived from a PBE-relaxed structure, using CuKα.

Crystal structure
```
Cs2K6RbNa
1.0
8.7630 0.0000 0.0000
0.2145 8.8499 0.0000
0.0907 1.1458 10.2661
Cs K Rb Na
2 6 1 1
direct
0.0000 0.0000 0.0000
0.1410 0.9915 0.5259
0.3116 0.4801 0.7239
0.4885 0.1924 0.0900
0.4970 0.6915 0.0729
0.6428 0.3015 0.4559
0.6537 0.8002 0.4381
0.8292 0.5130 0.8048
0.0703 0.4953 0.2637
0.5689 0.9962 0.7639
```

Most intense lines, 2θ from 10° to 90°, low angle first:
- 2θ = 10.08°, I = 71
- 2θ = 19.03°, I = 72
- 2θ = 20.17°, I = 62
- 2θ = 20.98°, I = 67
- 2θ = 21.42°, I = 61
- 2θ = 22.10°, I = 100
- 2θ = 22.42°, I = 66
- 2θ = 22.85°, I = 91
- 2θ = 23.64°, I = 74
- 2θ = 24.87°, I = 81


Record 9
The following is a simulated powder X-ray diffraction pattern of IrS5. It was derived from a PBE-relaxed structure, using CuKα.

Crystal structure
```
IrS5
1.0
4.9698 0.0000 0.0000
0.0000 6.9873 0.0000
-1.0853 0.0000 8.3699
Ir S
2 10
direct
0.2489 0.2500 0.2486
0.7511 0.7500 0.7514
0.0555 0.5229 0.8889
0.0555 0.9771 0.8889
0.3545 0.5144 0.4047
0.3545 0.9856 0.4047
0.4612 0.7500 0.9315
0.5388 0.2500 0.0685
0.6455 0.0144 0.5953
0.6455 0.4856 0.5953
0.9445 0.0229 0.1111
0.9445 0.4771 0.1111
```

Most intense lines, 2θ from 10° to 90°, low angle first:
- 2θ = 16.53°, I = 100
- 2θ = 19.69°, I = 52
- 2θ = 22.07°, I = 48
- 2θ = 29.11°, I = 19
- 2θ = 32.43°, I = 23
- 2θ = 33.41°, I = 17
- 2θ = 33.97°, I = 31
- 2θ = 47.25°, I = 14
- 2θ = 52.41°, I = 12
- 2θ = 54.35°, I = 11


Record 10
The following is a simulated powder X-ray diffraction pattern of CsCeP4O12. It was derived from a PBE-relaxed structure, using CuKα.

Crystal structure
```
CsCeP4O12
1.0
7.2812 0.0000 0.0000
0.0000 9.3604 0.0000
-1.4718 0.0000 8.8178
Cs Ce P O
2 2 8 24
direct
0.1694 0.0000 0.1719
0.8306 0.5000 0.8281
0.2985 0.1650 0.6974
0.7015 0.6650 0.3026
0.1459 0.5393 0.5429
0.1929 0.5921 0.2264
0.4154 0.3898 0.0725
0.4385 0.7742 0.6244
0.5615 0.2742 0.3756
0.5846 0.8898 0.9275
0.8071 0.0921 0.7736
0.8541 0.0393 0.4571
0.0081 0.1346 0.8167
0.0408 0.1104 0.4917
0.1625 0.4036 0.6325
0.2253 0.4631 0.1132
0.2264 0.5091 0.3880
0.2874 0.6513 0.6383
0.3425 0.7029 0.2293
0.3478 0.9171 0.5941
0.3574 0.3165 0.9248
0.4267 0.9950 0.9084
0.4276 0.2198 0.4726
0.4533 0.2660 0.2008
0.5467 0.7660 0.7992
0.5724 0.7198 0.5274
0.5733 0.4950 0.0916
0.6426 0.8165 0.0752
0.6522 0.4171 0.4059
0.6575 0.2029 0.7707
0.7126 0.1513 0.3617
0.7736 0.0091 0.6120
0.7747 0.9631 0.8868
0.8375 0.9036 0.3675
0.9592 0.6104 0.5083
0.9919 0.6346 0.1833
```

Most intense lines, 2θ from 10° to 90°, low angle first:
- 2θ = 13.80°, I = 84
- 2θ = 15.55°, I = 83
- 2θ = 18.96°, I = 48
- 2θ = 19.62°, I = 62
- 2θ = 21.85°, I = 76
- 2θ = 22.68°, I = 74
- 2θ = 25.39°, I = 67
- 2θ = 25.68°, I = 100
- 2θ = 26.96°, I = 61
- 2θ = 30.39°, I = 77


Record 11
The following is a simulated powder X-ray diffraction pattern of CeSmRuI. It was derived from a PBE-relaxed structure, using CuKα.

Crystal structure
```
CeSmRuI
1.0
7.0208 0.0000 0.0000
0.0000 4.0538 0.0000
-2.3487 0.0000 8.1229
Ce Sm Ru I
2 2 2 2
direct
0.0000 0.0000 0.0000
0.5000 0.5000 0.0000
0.2899 0.5000 0.3715
0.7899 0.0000 0.3715
0.3847 0.0000 0.1571
0.8847 0.5000 0.1571
0.0591 0.5000 0.6788
0.5591 0.0000 0.6788
```

Most intense lines, 2θ from 10° to 90°, low angle first:
- 2θ = 10.89°, I = 15
- 2θ = 26.42°, I = 16
- 2θ = 29.36°, I = 37
- 2θ = 31.40°, I = 100
- 2θ = 36.34°, I = 13
- 2θ = 44.71°, I = 50
- 2θ = 45.30°, I = 18
- 2θ = 55.60°, I = 17
- 2θ = 55.66°, I = 13
- 2θ = 74.02°, I = 16


Record 12
The following is a simulated powder X-ray diffraction pattern of Li5Pb3. It was derived from a PBE-relaxed structure, using CuKα.

Crystal structure
```
Li5Pb3
1.0
-5.5078 5.5078 2.8987
5.5078 -5.5078 2.8987
5.5078 5.5078 -2.8987
Li Pb
10 6
direct
0.0767 0.7670 0.8437
0.2330 0.0767 0.3097
0.2500 0.7500 0.5000
0.2670 0.5767 0.8437
0.4233 0.2670 0.6903
0.5767 0.7330 0.3097
0.7330 0.4233 0.1563
0.7500 0.2500 0.5000
0.7670 0.9233 0.6903
0.9233 0.2330 0.1563
0.1679 0.3321 0.5000
0.2500 0.2500 0.0000
0.3321 0.8321 0.1642
0.6679 0.1679 0.8358
0.7500 0.7500 0.0000
0.8321 0.6679 0.5000
```

Most intense lines, 2θ from 10° to 90°, low angle first:
- 2θ = 22.83°, I = 29
- 2θ = 23.70°, I = 100
- 2θ = 25.57°, I = 75
- 2θ = 32.97°, I = 22
- 2θ = 34.98°, I = 38
- 2θ = 36.48°, I = 19
- 2θ = 37.05°, I = 39
- 2θ = 45.43°, I = 17
- 2θ = 46.98°, I = 35
- 2θ = 47.11°, I = 17